Structure and theoretical PXRD pattern of CaTbTlRh (a crystal structure in Alexandria, relaxed with GGA-PBE; copper Kα).
Lines closer than 0.1° are merged.

Principal peaks in the range 10 to 80 degrees two-theta, sorted by position:
| 2θ (°) | I_rel |
| --- | --- |
| 10.59 | 26 |
| 28.08 | 22 |
| 33.78 | 100 |
| 37.00 | 44 |
| 49.82 | 9 |
| 53.33 | 15 |
| 58.27 | 14 |
| 64.63 | 30 |

Atomic structure:
```
CaTbTlRh
1.0
3.436 0.000 0.000
0.000 3.436 0.000
0.000 0.000 8.351
Ca Tb Tl Rh
1 1 1 1
Direct
0.000 0.000 0.000 Ca
0.000 0.000 0.586 Tb
0.500 0.500 0.292 Tl
0.500 0.500 0.771 Rh
```


Structure and theoretical PXRD pattern of Ca4TlRh (a crystal structure in Alexandria, relaxed with GGA-PBE; copper Kα).
Lines closer than 0.1° are merged.

Principal peaks in the range 10 to 80 degrees two-theta, sorted by position:
| 2θ (°) | I_rel |
| --- | --- |
| 16.40 | 76 |
| 20.11 | 73 |
| 20.86 | 66 |
| 22.13 | 73 |
| 30.33 | 100 |
| 33.04 | 83 |
| 34.98 | 68 |
| 37.32 | 51 |

Atomic structure:
```
Ca4TlRh
1.0
4.573 -6.834 0.000
4.573 6.834 0.000
-2.264 0.000 5.784
Ca Tl Rh
8 2 2
Direct
0.056 0.722 0.939 Ca
0.210 0.356 0.648 Ca
0.278 0.944 0.561 Ca
0.356 0.210 0.148 Ca
0.644 0.790 0.852 Ca
0.722 0.056 0.439 Ca
0.790 0.644 0.352 Ca
0.944 0.278 0.061 Ca
0.369 0.631 0.250 Tl
0.631 0.369 0.750 Tl
0.001 0.999 0.750 Rh
0.999 0.001 0.250 Rh
```


Structure and theoretical PXRD pattern of CaTm3Rh4 (a crystal structure in Alexandria, relaxed with GGA-PBE; copper Kα).
Lines closer than 0.1° are merged.

Principal peaks in the range 10 to 80 degrees two-theta, sorted by position:
| 2θ (°) | I_rel |
| --- | --- |
| 11.30 | 5 |
| 21.81 | 4 |
| 22.77 | 4 |
| 26.35 | 2 |
| 37.61 | 100 |
| 54.24 | 17 |
| 67.74 | 8 |
| 67.93 | 26 |

Atomic structure:
```
CaTm3Rh4
1.0
2.389 1.379 7.828
-2.389 1.379 7.828
0.000 -2.758 7.828
Ca Tm Rh
1 3 4
Direct
0.000 0.000 0.000 Ca
0.251 0.251 0.251 Tm
0.500 0.500 0.500 Tm
0.749 0.749 0.749 Tm
0.128 0.128 0.128 Rh
0.378 0.378 0.378 Rh
0.622 0.622 0.622 Rh
0.872 0.872 0.872 Rh
```


What is the formula in the third record? CaTm3Rh4